# YAl6Si18N30O2
Theoretical powder XRD pattern, λ = 1.5418 Å (Cu Kα). Input: a structure optimized by DFT (GGA-PBE).
Intensities are scaled so that the largest is 100.

Crystal structure
a = 7.9400 Å, b = 7.9410 Å, c = 11.4393 Å
α = 89.57°, β = 89.96°, γ = 60.33°
Fractional coordinates of all 57 atoms:
1 Y 0.0000 0.0000 0.0000
2 Al 0.0969 0.7640 0.7333
3 Al 0.1825 0.5809 0.9877
4 Al 0.4172 0.7599 0.8788
5 Al 0.5073 0.5909 0.1379
6 Al 0.7554 0.8438 0.8818
7 Al 0.7564 0.8417 0.3880
8 Si 0.1043 0.7526 0.2466
9 Si 0.1482 0.1167 0.7367
10 Si 0.1599 0.1077 0.2419
11 Si 0.1775 0.5873 0.4877
12 Si 0.2410 0.1909 0.4908
13 Si 0.2467 0.1926 0.9881
14 Si 0.4168 0.7643 0.3808
15 Si 0.5107 0.5877 0.6371
16 Si 0.5785 0.9388 0.6342
17 Si 0.5842 0.2466 0.9900
18 Si 0.5892 0.2424 0.4889
19 Si 0.5888 0.9359 0.1353
20 Si 0.7460 0.1645 0.2394
21 Si 0.7508 0.1640 0.7331
22 Si 0.8356 0.4170 0.3842
23 Si 0.8429 0.4228 0.8829
24 Si 0.9225 0.5123 0.6294
25 Si 0.9277 0.5139 0.1377
26 N 0.0044 0.0087 0.2095
27 N 0.0161 0.7559 0.8842
28 N 0.0247 0.7221 0.3790
29 N 0.0566 0.6271 0.6174
30 N 0.0619 0.6329 0.1339
31 N 0.2514 0.0341 0.8802
32 N 0.2798 0.0207 0.3781
33 N 0.3207 0.0680 0.6262
34 N 0.3250 0.0624 0.1236
35 N 0.3390 0.3444 0.4624
36 N 0.3451 0.6869 0.2631
37 N 0.3484 0.3314 0.9547
38 N 0.3577 0.6768 0.7478
39 N 0.6273 0.3379 0.6202
40 N 0.6400 0.3228 0.1197
41 N 0.6545 0.0048 0.5114
42 N 0.6623 0.0053 0.7524
43 N 0.6649 0.6637 0.3834
44 N 0.6671 0.0000 0.2559
45 N 0.6694 0.6814 0.6304
46 N 0.6768 0.0012 0.0136
47 N 0.6780 0.6617 0.8910
48 N 0.6804 0.6842 0.1311
49 N 0.7177 0.2795 0.3744
50 N 0.7341 0.2694 0.8790
51 N 0.9834 0.3547 0.2573
52 N 0.9830 0.3677 0.7560
53 N 0.9899 0.3602 0.5048
54 N 0.9953 0.0287 0.7066
55 N 0.9955 0.3576 0.0101
56 O 0.3400 0.6892 0.0125
57 O 0.3589 0.6678 0.5056

Peak list (10 most intense, 10° ≤ 2θ ≤ 80°, in order of rising 2θ)
2theta	d_spacing	intensity
12.9	6.888	44
15.0	5.913	68
30.2	2.961	42
30.3	2.947	74
33.9	2.646	82
34.0	2.636	80
34.3	2.612	51
34.5	2.599	100
37.9	2.372	43
38.0	2.368	52

# Ba5P3O13
Theoretical powder XRD pattern, λ = 1.5418 Å (Cu Kα). Input: a structure optimized by DFT (GGA-PBE).
Intensities are scaled so that the largest is 100.

Crystal structure
a = 10.2330 Å, b = 10.2330 Å, c = 7.7252 Å
α = 90.00°, β = 90.00°, γ = 120.00°
Fractional coordinates of all 42 atoms:
1 Ba 0.0180 0.2452 0.2500
2 Ba 0.2272 0.9820 0.2500
3 Ba 0.2452 0.2272 0.7500
4 Ba 0.3333 0.6667 0.5019
5 Ba 0.3333 0.6667 0.9981
6 Ba 0.6667 0.3333 0.0019
7 Ba 0.6667 0.3333 0.4981
8 Ba 0.7548 0.7728 0.2500
9 Ba 0.7728 0.0180 0.7500
10 Ba 0.9820 0.7548 0.7500
11 P 0.0288 0.4038 0.7500
12 P 0.3750 0.9712 0.7500
13 P 0.4038 0.3750 0.2500
14 P 0.5962 0.6250 0.7500
15 P 0.6250 0.0288 0.2500
16 P 0.9712 0.5962 0.2500
17 O 0.0000 0.0000 0.0000
18 O 0.0000 0.0000 0.5000
19 O 0.0788 0.3493 0.5866
20 O 0.0788 0.3493 0.9134
21 O 0.1113 0.5797 0.7500
22 O 0.1435 0.6621 0.2500
23 O 0.2705 0.9212 0.5866
24 O 0.2705 0.9212 0.9134
25 O 0.3379 0.4814 0.2500
26 O 0.3493 0.2705 0.0866
27 O 0.3493 0.2705 0.4134
28 O 0.4203 0.5316 0.7500
29 O 0.4684 0.8887 0.7500
30 O 0.4814 0.1435 0.7500
31 O 0.5186 0.8565 0.2500
32 O 0.5316 0.1113 0.2500
33 O 0.5797 0.4684 0.2500
34 O 0.6507 0.7295 0.5866
35 O 0.6507 0.7295 0.9134
36 O 0.6621 0.5186 0.7500
37 O 0.7295 0.0788 0.0866
38 O 0.7295 0.0788 0.4134
39 O 0.8565 0.3379 0.7500
40 O 0.8887 0.4203 0.2500
41 O 0.9212 0.6507 0.0866
42 O 0.9212 0.6507 0.4134

Peak list (10 most intense, 10° ≤ 2θ ≤ 80°, in order of rising 2θ)
2theta	d_spacing	intensity
20.0	4.431	12
25.2	3.541	17
26.6	3.350	22
29.0	3.077	100
30.3	2.954	20
42.4	2.133	19
44.4	2.042	19
47.0	1.933	22
47.3	1.922	13
68.7	1.367	11

# V6SiOs
Theoretical powder XRD pattern, λ = 1.5418 Å (Cu Kα). Input: a structure optimized by DFT (GGA-PBE).
Intensities are scaled so that the largest is 100.

Crystal structure
a = 4.7511 Å, b = 4.7511 Å, c = 4.7511 Å
α = 90.00°, β = 90.00°, γ = 90.00°
Fractional coordinates of all 8 atoms:
1 V 0.0000 0.2494 0.5000
2 V 0.0000 0.7506 0.5000
3 V 0.2494 0.5000 0.0000
4 V 0.5000 0.0000 0.2494
5 V 0.5000 0.0000 0.7506
6 V 0.7506 0.5000 0.0000
7 Si 0.5000 0.5000 0.5000
8 Os 0.0000 0.0000 0.0000

Peak list (10 most intense, 10° ≤ 2θ ≤ 80°, in order of rising 2θ)
2theta	d_spacing	intensity
18.7	4.751	66
26.5	3.360	30
32.6	2.743	23
37.9	2.376	46
42.5	2.125	87
46.8	1.940	100
58.3	1.584	17
65.1	1.433	10
71.6	1.318	17
74.8	1.270	48

# In2O3
Theoretical powder XRD pattern, λ = 1.5418 Å (Cu Kα). Input: a structure optimized by DFT (GGA-PBE).
Intensities are scaled so that the largest is 100.

Crystal structure
a = 5.8794 Å, b = 5.8794 Å, c = 5.8794 Å
α = 56.72°, β = 56.72°, γ = 56.72°
Fractional coordinates of all 10 atoms:
1 In 0.1428 0.1428 0.1428
2 In 0.3572 0.3572 0.3572
3 In 0.6428 0.6428 0.6428
4 In 0.8572 0.8572 0.8572
5 O 0.0467 0.7500 0.4533
6 O 0.2500 0.5467 0.9533
7 O 0.4533 0.0467 0.7500
8 O 0.5467 0.9533 0.2500
9 O 0.7500 0.4533 0.0467
10 O 0.9533 0.2500 0.5467

Peak list (10 most intense, 10° ≤ 2θ ≤ 80°, in order of rising 2θ)
2theta	d_spacing	intensity
22.0	4.045	19
30.5	2.932	100
32.0	2.793	93
44.8	2.022	40
49.4	1.845	34
53.2	1.723	11
56.2	1.638	38
57.1	1.612	28
66.3	1.411	11
75.4	1.261	14

What did the fourth record say?
# In2O3
Theoretical powder XRD pattern, λ = 1.5418 Å (Cu Kα). Input: a structure optimized by DFT (GGA-PBE).
Intensities are scaled so that the largest is 100.

Crystal structure
a = 5.8794 Å, b = 5.8794 Å, c = 5.8794 Å
α = 56.72°, β = 56.72°, γ = 56.72°
Fractional coordinates of all 10 atoms:
1 In 0.1428 0.1428 0.1428
2 In 0.3572 0.3572 0.3572
3 In 0.6428 0.6428 0.6428
4 In 0.8572 0.8572 0.8572
5 O 0.0467 0.7500 0.4533
6 O 0.2500 0.5467 0.9533
7 O 0.4533 0.0467 0.7500
8 O 0.5467 0.9533 0.2500
9 O 0.7500 0.4533 0.0467
10 O 0.9533 0.2500 0.5467

Peak list (10 most intense, 10° ≤ 2θ ≤ 80°, in order of rising 2θ)
2theta	d_spacing	intensity
22.0	4.045	19
30.5	2.932	100
32.0	2.793	93
44.8	2.022	40
49.4	1.845	34
53.2	1.723	11
56.2	1.638	38
57.1	1.612	28
66.3	1.411	11
75.4	1.261	14

- What is the formula in the second record?
  Ba5P3O13